Entry 1:
SrCaGdNbO6: theoretical powder diffraction line list (Cu Kα, 1.54184 Å), based on a cell relaxed with GGA-PBE.
Neutral-atom scattering factors, no anomalous dispersion.

Cell and atoms:
abc: 5.822 5.822 8.531
angles: 90.00 90.00 90.00
Atoms (fractional coordinates):
Sr  0.000  0.500  0.250
Sr  0.500  0.000  0.750
Ca  0.000  0.500  0.750
Ca  0.500  0.000  0.250
Gd  0.000  0.000  0.500
Gd  0.500  0.500  0.000
Nb  0.000  0.000  0.000
Nb  0.500  0.500  0.500
O  0.000  0.000  0.237
O  0.000  0.000  0.763
O  0.160  0.307  0.985
O  0.193  0.340  0.515
O  0.307  0.840  0.015
O  0.340  0.807  0.485
O  0.500  0.500  0.263
O  0.500  0.500  0.737
O  0.660  0.193  0.485
O  0.693  0.160  0.015
O  0.807  0.660  0.515
O  0.840  0.693  0.985

Largest 6 diffraction maxima, by angle, 2θ from 10° to 90°:
2θ (°)  intensity
21.59  21
30.17  100
30.72  60
43.99  29
53.24  25
54.27  47

Entry 2:
CaBO3: theoretical powder diffraction line list (Cu Kα, 1.54184 Å), based on a cell relaxed with GGA-PBE.
Neutral-atom scattering factors, no anomalous dispersion.

Cell and atoms:
abc: 3.480 3.480 3.480
angles: 90.00 90.00 90.00
Atoms (fractional coordinates):
Ca  0.000  0.000  0.000
B  0.500  0.500  0.500
O  0.000  0.500  0.500
O  0.500  0.000  0.500
O  0.500  0.500  0.000

Largest 6 diffraction maxima, by angle, 2θ from 10° to 90°:
2θ (°)  intensity
25.60  14
36.52  48
45.13  100
52.60  60
65.73  16
77.60  30

Entry 3:
MgZn3: theoretical powder diffraction line list (Cu Kα, 1.54184 Å), based on a cell relaxed with GGA-PBE.
Neutral-atom scattering factors, no anomalous dispersion.

Cell and atoms:
abc: 4.856 4.856 4.856
angles: 129.82 129.82 73.69
Atoms (fractional coordinates):
Mg  0.000  0.000  0.000
Zn  0.250  0.750  0.500
Zn  0.500  0.500  0.000
Zn  0.750  0.250  0.500

Largest 6 diffraction maxima, by angle, 2θ from 10° to 90°:
2θ (°)  intensity
24.46  12
38.63  100
43.97  34
46.75  14
66.11  19
77.26  23

Entry 4:
NaAlS2O8: theoretical powder diffraction line list (Cu Kα, 1.54184 Å), based on a cell relaxed with GGA-PBE.
Neutral-atom scattering factors, no anomalous dispersion.

Cell and atoms:
abc: 13.994 5.035 8.186
angles: 90.00 90.00 90.00
Atoms (fractional coordinates):
Na  0.082  0.250  0.080
Na  0.418  0.750  0.580
Na  0.582  0.250  0.420
Na  0.918  0.750  0.920
Al  0.153  0.250  0.504
Al  0.347  0.750  0.004
Al  0.653  0.250  0.996
Al  0.847  0.750  0.496
S  0.057  0.750  0.308
S  0.168  0.750  0.748
S  0.332  0.250  0.248
S  0.443  0.250  0.808
S  0.557  0.750  0.192
S  0.668  0.750  0.752
S  0.832  0.250  0.252
S  0.943  0.250  0.692
O  0.028  0.250  0.586
O  0.034  0.750  0.134
O  0.067  0.750  0.783
O  0.116  0.509  0.344
O  0.116  0.991  0.344
O  0.199  0.511  0.652
O  0.199  0.989  0.652
O  0.223  0.750  0.906
O  0.277  0.250  0.406
O  0.301  0.011  0.152
O  0.301  0.489  0.152
O  0.384  0.009  0.844
O  0.384  0.491  0.844
O  0.433  0.250  0.283
O  0.466  0.250  0.634
O  0.472  0.750  0.086
O  0.528  0.250  0.914
O  0.534  0.750  0.366
O  0.567  0.750  0.717
O  0.616  0.509  0.156
O  0.616  0.991  0.156
O  0.699  0.511  0.848
O  0.699  0.989  0.848
O  0.723  0.750  0.594
O  0.777  0.250  0.094
O  0.801  0.011  0.348
O  0.801  0.489  0.348
O  0.884  0.009  0.656
O  0.884  0.491  0.656
O  0.933  0.250  0.217
O  0.966  0.250  0.866
O  0.972  0.750  0.414

Largest 6 diffraction maxima, by angle, 2θ from 10° to 90°:
2θ (°)  intensity
12.53  41
21.71  48
24.34  64
27.73  72
28.83  30
30.92  100

Entry 5:
U2Al9Co3: theoretical powder diffraction line list (Cu Kα, 1.54184 Å), based on a cell relaxed with GGA-PBE.
Neutral-atom scattering factors, no anomalous dispersion.

Cell and atoms:
abc: 7.438 7.438 9.199
angles: 90.00 90.00 60.75
Atoms (fractional coordinates):
U  0.005  0.674  0.750
U  0.326  0.995  0.750
U  0.674  0.005  0.250
U  0.995  0.326  0.250
Al  0.000  0.336  0.573
Al  0.000  0.336  0.927
Al  0.000  0.664  0.073
Al  0.000  0.664  0.427
Al  0.126  0.874  0.250
Al  0.333  0.667  0.548
Al  0.333  0.667  0.952
Al  0.336  0.000  0.073
Al  0.336  0.000  0.427
Al  0.341  0.443  0.250
Al  0.443  0.341  0.750
Al  0.557  0.659  0.250
Al  0.659  0.557  0.750
Al  0.664  0.000  0.573
Al  0.664  0.000  0.927
Al  0.667  0.333  0.048
Al  0.667  0.333  0.452
Al  0.874  0.126  0.750
Co  0.000  0.000  0.000
Co  0.000  0.000  0.500
Co  0.327  0.327  0.000
Co  0.327  0.327  0.500
Co  0.673  0.673  0.000
Co  0.673  0.673  0.500

Largest 6 diffraction maxima, by angle, 2θ from 10° to 90°:
2θ (°)  intensity
16.72  64
25.59  52
25.84  100
30.92  55
38.04  88
41.76  76

Entry 6:
Cd2Fe3Cu10Sn5Se20: theoretical powder diffraction line list (Cu Kα, 1.54184 Å), based on a cell relaxed with GGA-PBE.
Neutral-atom scattering factors, no anomalous dispersion.

Cell and atoms:
abc: 21.385 7.035 21.017
angles: 83.42 19.07 77.51
Atoms (fractional coordinates):
Cd  0.200  0.800  0.200
Cd  0.800  0.200  0.800
Fe  0.400  0.599  0.401
Fe  0.599  0.400  0.600
Fe  0.998  0.998  0.002
Cu  0.049  0.449  0.051
Cu  0.145  0.353  0.152
Cu  0.249  0.249  0.251
Cu  0.353  0.145  0.350
Cu  0.449  0.049  0.451
Cu  0.549  0.949  0.551
Cu  0.650  0.848  0.647
Cu  0.749  0.749  0.751
Cu  0.848  0.650  0.855
Cu  0.949  0.549  0.951
Sn  0.095  0.899  0.101
Sn  0.303  0.698  0.302
Sn  0.499  0.499  0.501
Sn  0.698  0.303  0.697
Sn  0.899  0.095  0.905
Se  0.037  0.699  0.764
Se  0.087  0.179  0.821
Se  0.098  0.634  0.902
Se  0.179  0.087  0.913
Se  0.236  0.501  0.963
Se  0.288  0.992  0.008
Se  0.308  0.402  0.090
Se  0.391  0.888  0.112
Se  0.402  0.308  0.200
Se  0.487  0.778  0.222
Se  0.501  0.236  0.301
Se  0.579  0.686  0.314
Se  0.634  0.098  0.366
Se  0.686  0.579  0.421
Se  0.699  0.037  0.499
Se  0.778  0.487  0.513
Se  0.800  0.910  0.598
Se  0.888  0.391  0.609
Se  0.910  0.800  0.692
Se  0.992  0.288  0.712

Largest 6 diffraction maxima, by angle, 2θ from 10° to 90°:
2θ (°)  intensity
26.69  100
43.93  12
44.00  13
44.46  47
52.18  29
53.04  13

Entry 7:
YSiPt2: theoretical powder diffraction line list (Cu Kα, 1.54184 Å), based on a cell relaxed with GGA-PBE.
Neutral-atom scattering factors, no anomalous dispersion.

Cell and atoms:
abc: 7.364 6.949 5.546
angles: 90.00 90.00 90.00
Atoms (fractional coordinates):
Y  0.028  0.250  0.136
Y  0.472  0.750  0.636
Y  0.528  0.250  0.364
Y  0.972  0.750  0.864
Si  0.120  0.750  0.362
Si  0.380  0.250  0.862
Si  0.620  0.750  0.138
Si  0.880  0.250  0.638
Pt  0.180  0.051  0.593
Pt  0.180  0.449  0.593
Pt  0.320  0.551  0.093
Pt  0.320  0.949  0.093
Pt  0.680  0.051  0.907
Pt  0.680  0.449  0.907
Pt  0.820  0.551  0.407
Pt  0.820  0.949  0.407

Largest 6 diffraction maxima, by angle, 2θ from 10° to 90°:
2θ (°)  intensity
34.56  100
35.52  75
40.17  92
43.53  71
44.12  70
64.72  60